(1)
This entry pairs a crystal structure of SrZnAsHO5 with its calculated X-ray diffraction stick pattern. Radiation: Cu Ka. Structure: a PBE-relaxed structure.

Peak list (10 most intense, 10° ≤ 2θ ≤ 90°, by angle)
2theta, d [Å], I (rel.)
21.09, 4.212, 33.9
27.75, 3.215, 100.0
31.26, 2.862, 85.8
33.36, 2.686, 72.2
33.94, 2.642, 47.8
34.69, 2.586, 52.2
35.48, 2.530, 22.6
48.90, 1.863, 24.4
55.96, 1.643, 37.3
59.81, 1.546, 30.8

Structure:
a = 6.0409 Å, b = 7.5952 Å, c = 9.2683 Å
α = 90.00°, β = 90.00°, γ = 90.00°
Fractional positions:
Sr (0.0264, 0.1355, 0.1693)
Sr (0.4736, 0.8645, 0.6693)
Sr (0.5264, 0.3645, 0.8307)
Sr (0.9736, 0.6355, 0.3307)
Zn (0.2396, 0.2624, 0.5065)
Zn (0.2604, 0.7376, 0.0065)
Zn (0.7396, 0.2376, 0.4935)
Zn (0.7604, 0.7624, 0.9935)
As (0.0113, 0.6213, 0.6843)
As (0.4887, 0.3787, 0.1843)
As (0.5113, 0.8787, 0.3157)
As (0.9887, 0.1213, 0.8157)
H (0.0107, 0.9946, 0.4933)
H (0.4893, 0.0054, 0.9933)
H (0.5107, 0.5054, 0.5067)
H (0.9893, 0.4946, 0.0067)
O (0.0035, 0.1045, 0.4354)
O (0.0117, 0.9431, 0.9320)
O (0.0677, 0.7954, 0.5715)
O (0.2350, 0.1451, 0.7246)
O (0.2411, 0.6067, 0.7938)
O (0.2589, 0.3933, 0.2938)
O (0.2650, 0.8549, 0.2246)
O (0.4323, 0.2046, 0.0715)
O (0.4883, 0.0569, 0.4320)
O (0.4965, 0.8955, 0.9354)
O (0.5035, 0.3955, 0.5646)
O (0.5117, 0.5569, 0.0680)
O (0.5677, 0.7046, 0.4285)
O (0.7350, 0.3549, 0.2754)
O (0.7411, 0.8933, 0.2062)
O (0.7589, 0.1067, 0.7062)
O (0.7650, 0.6451, 0.7754)
O (0.9323, 0.2954, 0.9285)
O (0.9883, 0.4431, 0.5680)
O (0.9965, 0.6045, 0.0646)



(2)
This entry pairs a crystal structure of ZnAs4H8O16 with its calculated X-ray diffraction stick pattern. Radiation: Cu Ka. Structure: a PBE-relaxed structure.

Peak list (10 most intense, 10° ≤ 2θ ≤ 90°, by angle)
2theta, d [Å], I (rel.)
11.73, 7.547, 46.9
22.36, 3.976, 40.2
23.02, 3.864, 88.8
23.58, 3.773, 64.4
23.86, 3.730, 43.8
26.62, 3.348, 94.3
30.74, 2.909, 40.3
31.66, 2.826, 100.0
34.21, 2.621, 37.4
42.10, 2.146, 39.4

Structure:
a = 5.3093 Å, b = 7.3596 Å, c = 7.7082 Å
α = 97.84°, β = 98.34°, γ = 92.51°
Fractional positions:
Zn (0.0000, 0.0000, 0.0000)
As (0.0717, 0.2922, 0.7317)
As (0.4284, 0.8086, 0.7912)
As (0.5716, 0.1914, 0.2088)
As (0.9283, 0.7078, 0.2683)
H (0.0010, 0.5960, 0.8171)
H (0.2455, 0.3160, 0.4803)
H (0.3809, 0.4600, 0.2940)
H (0.3881, 0.9519, 0.3115)
H (0.6119, 0.0481, 0.6885)
H (0.6191, 0.5400, 0.7060)
H (0.7545, 0.6840, 0.5197)
H (0.9990, 0.4040, 0.1829)
O (0.0745, 0.2750, 0.5034)
O (0.0980, 0.8972, 0.2374)
O (0.1167, 0.5241, 0.2133)
O (0.1476, 0.7764, 0.8620)
O (0.3265, 0.1526, 0.0328)
O (0.3728, 0.3510, 0.8435)
O (0.4309, 0.9850, 0.6641)
O (0.4884, 0.6174, 0.6432)
O (0.5116, 0.3826, 0.3568)
O (0.5691, 0.0150, 0.3359)
O (0.6272, 0.6490, 0.1565)
O (0.6735, 0.8474, 0.9672)
O (0.8524, 0.2236, 0.1380)
O (0.8833, 0.4759, 0.7867)
O (0.9020, 0.1028, 0.7626)
O (0.9255, 0.7250, 0.4966)



(3)
This entry pairs a crystal structure of Zn3As2H16O16 with its calculated X-ray diffraction stick pattern. Radiation: Cu Ka. Structure: a PBE-relaxed structure.

Peak list (10 most intense, 10° ≤ 2θ ≤ 90°, by angle)
2theta, d [Å], I (rel.)
11.34, 7.800, 38.8
13.67, 6.476, 100.0
23.00, 3.866, 20.4
28.33, 3.150, 62.5
30.14, 2.965, 63.3
33.24, 2.695, 38.2
34.01, 2.636, 29.8
34.50, 2.600, 24.0
36.97, 2.432, 27.3
48.30, 1.884, 20.2

Structure:
a = 8.2184 Å, b = 8.2184 Å, c = 4.7028 Å
α = 99.24°, β = 99.24°, γ = 103.99°
Fractional positions:
Zn (0.0000, 0.0000, 0.0000)
Zn (0.3773, 0.6227, 0.0000)
Zn (0.6227, 0.3773, 0.0000)
As (0.3148, 0.3148, 0.3749)
As (0.6852, 0.6852, 0.6251)
H (0.0379, 0.2054, 0.6376)
H (0.0533, 0.3227, 0.9545)
H (0.1678, 0.5738, 0.5044)
H (0.1772, 0.7541, 0.7128)
H (0.2054, 0.0379, 0.6376)
H (0.2459, 0.8228, 0.2872)
H (0.3227, 0.0533, 0.9545)
H (0.4262, 0.8322, 0.4956)
H (0.5738, 0.1678, 0.5044)
H (0.6773, 0.9467, 0.0455)
H (0.7541, 0.1772, 0.7128)
H (0.7946, 0.9621, 0.3624)
H (0.8228, 0.2459, 0.2872)
H (0.8322, 0.4262, 0.4956)
H (0.9467, 0.6773, 0.0455)
H (0.9621, 0.7946, 0.3624)
O (0.0229, 0.7818, 0.1934)
O (0.1454, 0.1454, 0.3919)
O (0.1636, 0.6300, 0.7069)
O (0.2182, 0.9771, 0.8066)
O (0.2228, 0.4512, 0.2063)
O (0.3700, 0.8364, 0.2931)
O (0.4116, 0.4116, 0.7313)
O (0.4512, 0.2228, 0.2063)
O (0.5488, 0.7772, 0.7937)
O (0.5884, 0.5884, 0.2687)
O (0.6300, 0.1636, 0.7069)
O (0.7772, 0.5488, 0.7937)
O (0.7818, 0.0229, 0.1934)
O (0.8364, 0.3700, 0.2931)
O (0.8546, 0.8546, 0.6081)
O (0.9771, 0.2182, 0.8066)



(4)
This entry pairs a crystal structure of Zn2AsHO5 with its calculated X-ray diffraction stick pattern. Radiation: Cu Ka. Structure: a PBE-relaxed structure.

Peak list (10 most intense, 10° ≤ 2θ ≤ 90°, by angle)
2theta, d [Å], I (rel.)
14.94, 5.930, 66.8
17.93, 4.948, 46.1
18.15, 4.889, 56.1
20.94, 4.242, 45.6
30.14, 2.965, 100.0
33.15, 2.702, 67.3
36.31, 2.474, 68.8
36.54, 2.459, 55.1
37.44, 2.402, 49.4
57.30, 1.608, 48.1

Structure:
a = 8.2430 Å, b = 8.5374 Å, c = 6.0714 Å
α = 90.00°, β = 90.00°, γ = 90.00°
Fractional positions:
Zn (0.0000, 0.0000, 0.2473)
Zn (0.0000, 0.0000, 0.7527)
Zn (0.1353, 0.3643, 0.0000)
Zn (0.3647, 0.8643, 0.5000)
Zn (0.5000, 0.5000, 0.2527)
Zn (0.5000, 0.5000, 0.7473)
Zn (0.6353, 0.1357, 0.5000)
Zn (0.8647, 0.6357, 0.0000)
As (0.2470, 0.2481, 0.5000)
As (0.2530, 0.7481, 0.0000)
As (0.7470, 0.2519, 0.0000)
As (0.7530, 0.7519, 0.5000)
H (0.2205, 0.0834, 0.0000)
H (0.2795, 0.5834, 0.5000)
H (0.7205, 0.4166, 0.5000)
H (0.7795, 0.9166, 0.0000)
O (0.0631, 0.1529, 0.5000)
O (0.1065, 0.6060, 0.0000)
O (0.1117, 0.1289, 0.0000)
O (0.2303, 0.8696, 0.2240)
O (0.2303, 0.8696, 0.7760)
O (0.2697, 0.3696, 0.2759)
O (0.2697, 0.3696, 0.7240)
O (0.3883, 0.6289, 0.5000)
O (0.3935, 0.1060, 0.5000)
O (0.4369, 0.6529, 0.0000)
O (0.5631, 0.3471, 0.0000)
O (0.6065, 0.8940, 0.5000)
O (0.6117, 0.3711, 0.5000)
O (0.7303, 0.6304, 0.2759)
O (0.7303, 0.6304, 0.7240)
O (0.7697, 0.1304, 0.2240)
O (0.7697, 0.1304, 0.7760)
O (0.8883, 0.8711, 0.0000)
O (0.8935, 0.3940, 0.0000)
O (0.9369, 0.8471, 0.5000)



(5)
This entry pairs a crystal structure of Zn2AsHO5 with its calculated X-ray diffraction stick pattern. Radiation: Cu Ka. Structure: a PBE-relaxed structure.

Peak list (10 most intense, 10° ≤ 2θ ≤ 90°, by angle)
2theta, d [Å], I (rel.)
14.01, 6.322, 54.4
16.40, 5.405, 31.9
24.28, 3.665, 100.0
28.78, 3.102, 29.5
29.81, 2.998, 93.5
31.68, 2.825, 99.8
35.07, 2.558, 52.4
35.84, 2.506, 36.3
36.59, 2.456, 43.8
57.86, 1.594, 38.9

Structure:
a = 5.6011 Å, b = 5.8031 Å, c = 6.7234 Å
α = 76.81°, β = 74.81°, γ = 87.58°
Fractional positions:
Zn (0.0183, 0.2366, 0.3134)
Zn (0.3915, 0.7486, 0.0019)
Zn (0.6085, 0.2514, 0.9981)
Zn (0.9817, 0.7634, 0.6866)
As (0.1782, 0.2536, 0.7709)
As (0.8218, 0.7464, 0.2291)
H (0.4260, 0.4095, 0.3169)
H (0.5740, 0.5905, 0.6831)
O (0.0401, 0.7500, 0.9927)
O (0.0530, 0.1124, 0.6227)
O (0.2555, 0.5380, 0.6328)
O (0.3507, 0.3971, 0.2018)
O (0.4384, 0.1101, 0.8224)
O (0.5616, 0.8899, 0.1776)
O (0.6493, 0.6029, 0.7982)
O (0.7445, 0.4620, 0.3672)
O (0.9470, 0.8876, 0.3773)
O (0.9599, 0.2500, 0.0073)



(6)
This entry pairs a crystal structure of AsHPd5 with its calculated X-ray diffraction stick pattern. Radiation: Cu Ka. Structure: a PBE-relaxed structure.

Peak list (10 most intense, 10° ≤ 2θ ≤ 90°, by angle)
2theta, d [Å], I (rel.)
33.28, 2.692, 23.4
37.10, 2.423, 14.4
40.97, 2.203, 100.0
44.43, 2.039, 24.2
45.35, 2.000, 22.8
59.22, 1.560, 8.0
65.37, 1.428, 14.9
74.39, 1.275, 11.0
79.44, 1.206, 15.1
80.77, 1.190, 13.4

Structure:
a = 12.2798 Å, b = 12.2798 Å, c = 4.0777 Å
α = 90.00°, β = 90.00°, γ = 161.26°
Fractional positions:
As (0.1025, 0.8975, 0.5000)
As (0.8975, 0.1025, 0.0000)
H (0.2444, 0.7556, 0.9712)
H (0.7556, 0.2444, 0.4712)
Pd (0.0426, 0.9574, 0.0000)
Pd (0.1630, 0.8370, 0.0001)
Pd (0.2494, 0.7506, 0.5006)
Pd (0.3362, 0.6638, 0.0004)
Pd (0.4579, 0.5421, 0.0001)
Pd (0.5421, 0.4579, 0.5001)
Pd (0.6638, 0.3362, 0.5004)
Pd (0.7506, 0.2494, 0.0006)
Pd (0.8370, 0.1630, 0.5001)
Pd (0.9574, 0.0426, 0.5000)



(7)
This entry pairs a crystal structure of Pm2AsH with its calculated X-ray diffraction stick pattern. Radiation: Cu Ka. Structure: a PBE-relaxed structure.

Peak list (10 most intense, 10° ≤ 2θ ≤ 90°, by angle)
2theta, d [Å], I (rel.)
26.88, 3.317, 94.3
30.90, 2.893, 100.0
31.60, 2.831, 47.1
44.27, 2.046, 37.1
44.79, 2.024, 71.7
52.56, 1.741, 30.3
55.41, 1.658, 38.1
73.13, 1.294, 16.6
73.51, 1.288, 16.3
81.85, 1.177, 24.7

Structure:
a = 4.0920 Å, b = 4.0920 Å, c = 5.6622 Å
α = 90.00°, β = 90.00°, γ = 90.00°
Fractional positions:
Pm (0.0000, 0.0000, 0.0000)
Pm (0.5000, 0.5000, 0.5000)
As (0.0000, 0.0000, 0.5000)
H (0.5000, 0.5000, 0.0000)



(8)
This entry pairs a crystal structure of HoHfAsO with its calculated X-ray diffraction stick pattern. Radiation: Cu Ka. Structure: a PBE-relaxed structure.

Peak list (10 most intense, 10° ≤ 2θ ≤ 90°, by angle)
2theta, d [Å], I (rel.)
23.68, 3.757, 33.0
24.96, 3.568, 42.4
30.56, 2.925, 100.0
35.13, 2.554, 58.1
37.07, 2.425, 58.6
40.10, 2.249, 45.7
43.58, 2.077, 18.8
44.70, 2.027, 29.5
58.09, 1.588, 27.0
61.60, 1.506, 25.9

Structure:
a = 5.1089 Å, b = 4.0542 Å, c = 7.5130 Å
α = 90.00°, β = 90.00°, γ = 90.00°
Fractional positions:
Ho (0.2500, 0.0000, 0.1391)
Ho (0.7500, 0.0000, 0.8609)
Hf (0.2500, 0.5000, 0.7553)
Hf (0.7500, 0.5000, 0.2447)
As (0.2500, 0.5000, 0.3915)
As (0.7500, 0.5000, 0.6085)
O (0.2500, 0.0000, 0.8315)
O (0.7500, 0.0000, 0.1685)